Calculated XRD peak list
Compound: V3Bi2P6O24
Radiation: Cu Ka
Structure: a crystal structure in Alexandria, relaxed with GGA+U

Atomic structure:
a b c (Å): 8.5845 8.5845 22.4717
angles (deg): 90.00 90.00 120.00
Space group R3 (No. 146, hexagonal axes)
Unique sites:
V 0.0000 0.0000 0.0000 x3
V 0.0000 0.0000 0.1992 x3
V 0.0000 0.0000 0.6873 x3
Bi 0.0000 0.0000 0.3587 x3
Bi 0.0000 0.0000 0.8399 x3
P 0.0214 0.3358 0.5929 x9
P 0.0620 0.6831 0.7613 x9
O 0.0154 0.1988 0.6376 x9
O 0.0329 0.1904 0.2553 x9
O 0.0728 0.2064 0.9539 x9
O 0.1128 0.3537 0.5333 x9
O 0.1466 0.6877 0.8224 x9
O 0.1592 0.6696 0.4246 x9
O 0.1737 0.7478 0.0802 x9
O 0.2038 0.1201 0.0475 x9

Largest 6 diffraction maxima, by intensity, 10 to 90 degrees two-theta:
(2 -1 6), 31.7 deg, intensity 100.0
(0 1 2), 14.3 deg, intensity 92.4
(1 1 0), 20.7 deg, intensity 91.1
(1 1 3), 23.9 deg, intensity 43.7
(2 0 2), 25.2 deg, intensity 43.2
(3 -2 2), 32.9 deg, intensity 38.4